Computed X-ray diffraction stick pattern
Compound: V3O5F
Radiation: Cu Kα, 1.54184 Å
Structure: DFT lattice parameters and positions (GGA+U)

Cell and atoms:
```
V3O5F
1.0
5.0036 0.0000 0.0000
-2.4708 4.4941 0.0000
-2.2773 -1.5585 4.6999
V O F
3 5 1
direct
0.0000 0.0000 0.0000
0.0698 0.5561 0.5312
0.6662 0.3412 0.9205
0.0770 0.7375 0.2139
0.1957 0.9554 0.7759
0.5345 0.6204 0.7604
0.8546 0.2723 0.7354
0.8914 0.1770 0.2114
0.5225 0.3932 0.2361
```

Top 10 peaks for 15 to 90 degrees two-theta, low angle first:
2θ (°)  I/Imax  index
18.9  100.0  0 0 1
21.1  57.0  1 -1 0
21.5  79.5  1 0 -1
23.3  86.2  0 1 -1
23.5  94.6  1 0 0
24.6  70.6  -1 1 1
31.9  72.9  1 -1 1
32.5  59.3  0 1 1
33.2  74.6  1 0 -2
39.6  55.8  1 1 0